(1)
Calculated X-ray diffraction stick pattern
Compound: Ba6Ho2Al2Rh2O15
Radiation: Cu Kα (weighted mean of Kα1 and Kα2)
Structure: a DFT-relaxed cell (GGA-PBE, the Materials Project)
Kinematic intensities with the Lorentz-polarization factor, no thermal factor.

Main lines, low angle first (2θ from 5° to 70°):
| h k l | d/Å | I (rel.) |
| --- | --- | --- |
| 1 0 0 | 14.891 | 31 |
| 0 1 1 | 5.150 | 12 |
| 3 0 2 | 3.573 | 21 |
| 4 1 1 | 3.017 | 67 |
| 0 1 3 | 2.973 | 100 |
| 5 1 1 | 2.578 | 13 |
| 3 2 2 | 2.286 | 17 |
| 4 2 2 | 2.117 | 33 |
| 8 1 1 | 1.751 | 16 |
| 4 3 1 | 1.726 | 16 |
| 0 3 3 | 1.718 | 13 |
| 0 2 6 | 1.485 | 12 |

Crystal structure
```
data_Ba6Ho2Al2Rh2O15
_chemical_formula_sum 'Ba12 Ho4 Al4 Rh4 O30'
_space_group_name_H-M_alt 'A m m 2'
_space_group_IT_number 38
_cell_length_a 14.891
_cell_length_b 5.957
_cell_length_c 10.277
_cell_angle_alpha 90.00
_cell_angle_beta 90.00
_cell_angle_gamma 90.00
loop_
_space_group_symop_operation_xyz
'x,y,z'
'-x,-y,z'
'-x,y,z'
'x,-y,z'
'x,y+1/2,z+1/2'
'-x,-y+1/2,z+1/2'
'-x,y+1/2,z+1/2'
'x,-y+1/2,z+1/2'
loop_
_atom_site_label
_atom_site_fract_x
_atom_site_fract_y
_atom_site_fract_z
Ba1 0.000 0.000 0.000
Ba2 0.146 0.000 0.675
Ba3 0.311 0.000 0.337
Ba4 0.500 0.000 0.011
Ho1 0.252 0.000 0.002
Al1 0.385 0.000 0.665
Rh1 0.085 0.000 0.332
O1 0.000 0.237 0.247
O2 0.161 0.239 0.420
O3 0.169 0.000 0.176
O4 0.341 0.245 0.592
O5 0.358 0.000 0.834
O6 0.500 0.000 0.624
```



(2)
Calculated X-ray diffraction stick pattern
Compound: La6BN3O6
Radiation: Cu Kα (weighted mean of Kα1 and Kα2)
Structure: a DFT-relaxed cell (GGA-PBE, the Materials Project)
Kinematic intensities with the Lorentz-polarization factor, no thermal factor.

Main lines, low angle first (2θ from 5° to 70°):
| h k l | d/Å | I (rel.) |
| --- | --- | --- |
| 1 3 0 | 3.368 | 24 |
| 1 3 1 | 3.221 | 17 |
| 0 4 3 | 3.166 | 100 |
| 0 8 0 | 3.130 | 41 |
| 1 1 2 | 3.038 | 17 |
| 1 5 0 | 2.966 | 41 |
| 1 1 3 | 2.585 | 46 |
| 1 7 2 | 2.325 | 19 |
| 1 9 3 | 1.899 | 36 |
| 2 0 0 | 1.842 | 28 |
| 0 12 3 | 1.814 | 18 |
| 2 4 3 | 1.591 | 27 |

Crystal structure
```
data_La6BN3O6
_chemical_formula_sum 'La24 B4 N12 O24'
_space_group_name_H-M_alt 'C m c m'
_space_group_IT_number 63
_space_group_name_Hall '-C 2c 2'
_cell_length_a 3.682
_cell_length_b 25.038
_cell_length_c 11.008
_cell_angle_alpha 90.00
_cell_angle_beta 90.00
_cell_angle_gamma 90.00
loop_
_atom_site_label
_atom_site_fract_x
_atom_site_fract_y
_atom_site_fract_z
La1 0.000 0.048 0.250
La2 0.000 0.187 0.069
La3 0.000 0.199 0.750
La4 0.000 0.432 0.065
B1 0.000 0.360 0.750
N1 0.000 0.301 0.750
N2 0.000 0.389 0.634
O1 0.000 0.000 0.000
O2 0.000 0.123 0.606
O3 0.000 0.283 0.092
O4 0.000 0.487 0.250
```



(3)
Calculated X-ray diffraction stick pattern
Compound: Sr2BiSbO6
Radiation: Cu Kα (weighted mean of Kα1 and Kα2)
Structure: a DFT-relaxed cell (GGA-PBE, the Materials Project)
Kinematic intensities with the Lorentz-polarization factor, no thermal factor.

Main lines, low angle first (2θ from 5° to 70°):
| h k l | d/Å | I (rel.) |
| --- | --- | --- |
| 1 1 1 | 4.915 | 5 |
| 2 0 0 | 4.257 | 17 |
| 2 2 0 | 3.010 | 100 |
| 3 1 1 | 2.567 | 5 |
| 4 0 0 | 2.128 | 27 |
| 3 3 1 | 1.953 | 3 |
| 4 2 0 | 1.904 | 7 |
| 4 2 2 | 1.738 | 45 |
| 4 4 0 | 1.505 | 16 |
| 5 1 3 | 1.439 | 1 |
| 4 4 2 | 1.419 | 3 |
| 6 2 0 | 1.346 | 19 |

Crystal structure
```
data_Sr2BiSbO6
_chemical_formula_sum 'Sr8 Bi4 Sb4 O24'
_space_group_name_H-M_alt 'P n -3'
_space_group_IT_number 201
_cell_length_a 8.513
_cell_length_b 8.513
_cell_length_c 8.513
_cell_angle_alpha 90.00
_cell_angle_beta 90.00
_cell_angle_gamma 90.00
loop_
_space_group_symop_operation_xyz
'x,y,z'
'-x,-y,-z'
'-x+1/2,-y+1/2,z'
'x+1/2,y+1/2,-z'
'x,-y+1/2,-z+1/2'
'-x,y+1/2,z+1/2'
'-x+1/2,y,-z+1/2'
'x+1/2,-y,z+1/2'
'z,x,y'
'-z,-x,-y'
'z,-x+1/2,-y+1/2'
'-z,x+1/2,y+1/2'
'-z+1/2,x,-y+1/2'
'z+1/2,-x,y+1/2'
'-z+1/2,-x+1/2,y'
'z+1/2,x+1/2,-y'
'y,z,x'
'-y,-z,-x'
'-y+1/2,z,-x+1/2'
'y+1/2,-z,x+1/2'
'-y+1/2,-z+1/2,x'
'y+1/2,z+1/2,-x'
'y,-z+1/2,-x+1/2'
'-y,z+1/2,x+1/2'
loop_
_atom_site_label
_atom_site_fract_x
_atom_site_fract_y
_atom_site_fract_z
Sr1 0.250 0.250 0.250
Sr2 0.250 0.250 0.750
Bi1 0.000 0.000 0.000
Sb1 0.000 0.000 0.500
O1 0.036 0.544 0.769
```



(4)
Calculated X-ray diffraction stick pattern
Compound: Cs6U5As4O28
Radiation: Cu Kα (weighted mean of Kα1 and Kα2)
Structure: a DFT-relaxed cell (GGA-PBE, the Materials Project)
Kinematic intensities with the Lorentz-polarization factor, no thermal factor.

Main lines, low angle first (2θ from 5° to 70°):
| h k l | d/Å | I (rel.) |
| --- | --- | --- |
| 1 0 0 | 7.752 | 100 |
| 2 0 0 | 3.874 | 70 |
| 1 -2 1 | 3.665 | 22 |
| 2 1 0 | 3.555 | 21 |
| 1 2 3 | 3.351 | 61 |
| 0 2 3 | 3.326 | 33 |
| 1 -1 3 | 3.256 | 37 |
| 0 1 -3 | 3.215 | 47 |
| -1 1 3 | 3.107 | 43 |
| 0 3 0 | 3.058 | 37 |
| 2 -1 3 | 2.829 | 31 |
| 1 1 6 | 2.012 | 44 |

Crystal structure
```
data_Cs6U5As4O28
_chemical_formula_sum 'Cs6 U5 As4 O28'
_space_group_name_H-M_alt 'P -1'
_space_group_IT_number 2
_cell_length_a 8.070
_cell_length_b 9.467
_cell_length_c 12.089
_cell_angle_alpha 75.69
_cell_angle_beta 73.89
_cell_angle_gamma 86.73
loop_
_space_group_symop_operation_xyz
'x,y,z'
'-x,-y,-z'
loop_
_atom_site_label
_atom_site_fract_x
_atom_site_fract_y
_atom_site_fract_z
Cs1 0.010 0.379 0.267
Cs2 0.064 0.127 0.624
Cs3 0.126 0.201 0.968
U1 0.452 0.483 0.343
U2 0.491 0.874 0.778
U3 0.500 0.500 0.000
As1 0.367 0.823 0.115
As2 0.398 0.810 0.492
O1 0.173 0.894 0.110
O2 0.189 0.854 0.525
O3 0.230 0.419 0.423
O4 0.255 0.865 0.824
O5 0.266 0.484 0.019
O6 0.272 0.114 0.267
O7 0.326 0.450 0.735
O8 0.340 0.665 0.229
O9 0.434 0.631 0.476
O10 0.463 0.381 0.187
O11 0.466 0.073 0.624
O12 0.478 0.758 0.990
O13 0.481 0.776 0.616
O14 0.487 0.065 0.867
```



(5)
Calculated X-ray diffraction stick pattern
Compound: Tl2CuF3
Radiation: Cu Kα (weighted mean of Kα1 and Kα2)
Structure: a DFT-relaxed cell (GGA-PBE, the Materials Project)
Kinematic intensities with the Lorentz-polarization factor, no thermal factor.

Main lines, low angle first (2θ from 5° to 70°):
| h k l | d/Å | I (rel.) |
| --- | --- | --- |
| 1 1 0 | 5.039 | 31 |
| 1 0 -4 | 3.963 | 27 |
| -1 1 2 | 3.729 | 83 |
| 0 0 6 | 3.482 | 70 |
| 0 2 2 | 3.115 | 18 |
| 1 -1 4 | 3.031 | 47 |
| 1 2 -2 | 2.950 | 100 |
| 2 1 2 | 2.927 | 48 |
| 1 2 4 | 2.805 | 28 |
| 2 1 -4 | 2.582 | 46 |
| 0 2 8 | 2.114 | 20 |
| 1 2 -8 | 1.933 | 18 |

Crystal structure
```
data_Tl2CuF3
_chemical_formula_sum 'Tl12 Cu6 F18'
_space_group_name_H-M_alt 'P -1'
_space_group_IT_number 2
_cell_length_a 6.199
_cell_length_b 6.582
_cell_length_c 20.983
_cell_angle_alpha 84.79
_cell_angle_beta 89.36
_cell_angle_gamma 75.40
loop_
_space_group_symop_operation_xyz
'x,y,z'
'-x,-y,-z'
loop_
_atom_site_label
_atom_site_fract_x
_atom_site_fract_y
_atom_site_fract_z
Tl1 0.026 0.113 0.157
Tl2 0.029 0.108 0.651
Tl3 0.281 0.841 0.995
Tl4 0.302 0.560 0.682
Tl5 0.308 0.558 0.179
Tl6 0.364 0.775 0.485
Cu1 0.000 0.500 0.000
Cu2 0.000 0.500 0.500
Cu3 0.332 0.169 0.333
Cu4 0.352 0.148 0.832
F1 0.000 0.000 0.500
F2 0.079 0.449 0.085
F3 0.118 0.437 0.581
F4 0.207 0.234 0.252
F5 0.219 0.223 0.753
F6 0.329 0.663 0.331
F7 0.331 0.683 0.818
F8 0.456 0.104 0.414
F9 0.480 0.078 0.912
F10 0.500 0.500 0.000
```



(6)
Calculated X-ray diffraction stick pattern
Compound: CdGeO3
Radiation: Cu Kα (weighted mean of Kα1 and Kα2)
Structure: a DFT-relaxed cell (GGA-PBE, the Materials Project)
Kinematic intensities with the Lorentz-polarization factor, no thermal factor.

Main lines, low angle first (2θ from 5° to 70°):
| h k l | d/Å | I (rel.) |
| --- | --- | --- |
| 2 0 0 | 5.056 | 13 |
| 2 2 0 | 3.533 | 21 |
| 2 2 -1 | 3.188 | 100 |
| 1 3 -1 | 2.787 | 49 |
| 2 2 1 | 2.755 | 51 |
| 0 0 2 | 2.672 | 40 |
| 4 2 -1 | 2.241 | 16 |
| 1 5 0 | 1.939 | 13 |
| 5 3 -1 | 1.741 | 19 |
| 3 5 0 | 1.703 | 25 |
| 1 3 -3 | 1.597 | 22 |
| 5 3 1 | 1.556 | 22 |

Crystal structure
```
data_CdGeO3
_chemical_formula_sum 'Cd8 Ge8 O24'
_space_group_name_H-M_alt 'C 1 2/c 1'
_space_group_IT_number 15
_cell_length_a 10.379
_cell_length_b 9.878
_cell_length_c 5.485
_cell_angle_alpha 90.00
_cell_angle_beta 103.00
_cell_angle_gamma 90.00
loop_
_space_group_symop_operation_xyz
'x,y,z'
'-x,-y,-z'
'-x,y,-z+1/2'
'x,-y,z+1/2'
'x+1/2,y+1/2,z'
'-x+1/2,-y+1/2,-z'
'-x+1/2,y+1/2,-z+1/2'
'x+1/2,-y+1/2,z+1/2'
loop_
_atom_site_label
_atom_site_fract_x
_atom_site_fract_y
_atom_site_fract_z
Cd1 0.000 0.098 0.250
Cd2 0.000 0.288 0.750
Ge1 0.205 0.412 0.273
O1 0.121 0.093 0.653
O2 0.125 0.269 0.130
O3 0.148 0.448 0.558
```



(7)
Calculated X-ray diffraction stick pattern
Compound: LaReN3
Radiation: Cu Kα (weighted mean of Kα1 and Kα2)
Structure: a DFT-relaxed cell (GGA-PBE, the Materials Project)
Kinematic intensities with the Lorentz-polarization factor, no thermal factor.

Main lines, low angle first (2θ from 5° to 70°):
| h k l | d/Å | I (rel.) |
| --- | --- | --- |
| 1 0 0 | 3.970 | 5 |
| 1 1 0 | 2.807 | 100 |
| 2 0 0 | 1.985 | 25 |
| 2 1 0 | 1.775 | 2 |
| 2 1 1 | 1.621 | 40 |
| 2 2 0 | 1.404 | 16 |

Crystal structure
```
data_LaReN3
_chemical_formula_sum 'La1 Re1 N3'
_space_group_name_H-M_alt 'P m -3 m'
_space_group_IT_number 221
_space_group_name_Hall '-P 4 2 3'
_cell_length_a 3.970
_cell_length_b 3.970
_cell_length_c 3.970
_cell_angle_alpha 90.00
_cell_angle_beta 90.00
_cell_angle_gamma 90.00
loop_
_atom_site_label
_atom_site_fract_x
_atom_site_fract_y
_atom_site_fract_z
La1 0.000 0.000 0.000
Re1 0.500 0.500 0.500
N1 0.000 0.500 0.500
```



(8)
Calculated X-ray diffraction stick pattern
Compound: CoAgN
Radiation: Cu Kα (weighted mean of Kα1 and Kα2)
Structure: a DFT-relaxed cell (GGA-PBE, the Materials Project)
Kinematic intensities with the Lorentz-polarization factor, no thermal factor.

Main lines, low angle first (2θ from 5° to 70°):
| h k l | d/Å | I (rel.) |
| --- | --- | --- |
| 1 0 0 | 3.452 | 63 |
| 0 0 1 | 3.424 | 9 |
| 1 0 1 | 2.431 | 100 |
| 1 1 0 | 1.993 | 46 |
| 2 0 0 | 1.726 | 8 |
| 1 1 1 | 1.722 | 6 |
| 0 0 2 | 1.712 | 9 |
| 2 0 1 | 1.541 | 23 |
| 1 0 2 | 1.534 | 11 |

Crystal structure
```
data_CoAgN
_chemical_formula_sum 'Co1 Ag1 N1'
_space_group_name_H-M_alt 'P -6 m 2'
_space_group_IT_number 187
_space_group_name_Hall 'P -6 2'
_cell_length_a 3.9860
_cell_length_b 3.9860
_cell_length_c 3.4236
_cell_angle_alpha 90.00
_cell_angle_beta 90.00
_cell_angle_gamma 120.00
loop_
_atom_site_label
_atom_site_fract_x
_atom_site_fract_y
_atom_site_fract_z
Co1 0.0000 0.0000 0.0000
Ag1 0.3333 0.6667 0.5000
N1 0.0000 0.0000 0.5000
```